[1]
Simulated X-ray powder pattern of RbNbP2O8 for Cu Kα (λ = 1.5418 Å), from a PBE-relaxed structure.
Lines closer than 0.1° are merged.

Cell and atoms:
Cell: 5.153 11.912 12.842 Å, 90.00 113.66 90.00°
Fractional coordinates of all 48 atoms:
Rb (0.222, 0.128, 0.459)
Rb (0.222, 0.372, 0.959)
Rb (0.778, 0.628, 0.041)
Rb (0.778, 0.872, 0.541)
Nb (0.437, 0.112, 0.178)
Nb (0.437, 0.388, 0.678)
Nb (0.563, 0.612, 0.322)
Nb (0.563, 0.888, 0.822)
P (0.079, 0.700, 0.840)
P (0.079, 0.800, 0.340)
P (0.119, 0.070, 0.869)
P (0.119, 0.430, 0.369)
P (0.881, 0.570, 0.631)
P (0.881, 0.930, 0.131)
P (0.921, 0.200, 0.660)
P (0.921, 0.300, 0.160)
O (0.007, 0.183, 0.796)
O (0.007, 0.317, 0.296)
O (0.120, 0.017, 0.183)
O (0.120, 0.483, 0.683)
O (0.177, 0.595, 0.905)
O (0.177, 0.905, 0.405)
O (0.182, 0.104, 0.988)
O (0.182, 0.396, 0.488)
O (0.192, 0.249, 0.654)
O (0.192, 0.251, 0.154)
O (0.304, 0.706, 0.371)
O (0.304, 0.794, 0.871)
O (0.377, 0.031, 0.847)
O (0.377, 0.469, 0.347)
O (0.382, 0.625, 0.173)
O (0.382, 0.875, 0.673)
O (0.618, 0.125, 0.327)
O (0.618, 0.375, 0.827)
O (0.623, 0.531, 0.653)
O (0.623, 0.969, 0.153)
O (0.696, 0.206, 0.129)
O (0.696, 0.294, 0.629)
O (0.808, 0.749, 0.846)
O (0.808, 0.751, 0.346)
O (0.818, 0.604, 0.512)
O (0.818, 0.896, 0.012)
O (0.823, 0.095, 0.595)
O (0.823, 0.405, 0.095)
O (0.880, 0.517, 0.317)
O (0.880, 0.983, 0.817)
O (0.993, 0.683, 0.704)
O (0.993, 0.817, 0.204)

Top 10 peaks for 10 to 90 degrees two-theta, by angle:
2theta  d_spacing  intensity
16.68  5.314  40
20.24  4.388  64
22.82  3.897  48
23.89  3.724  71
24.13  3.688  31
27.46  3.249  100
28.61  3.120  31
29.40  3.039  56
34.82  2.577  43
46.61  1.949  34

***

[2]
Simulated X-ray powder pattern of CuAgHgBi for Cu Kα (λ = 1.5418 Å), from a PBE-relaxed structure.
Lines closer than 0.1° are merged.

Cell and atoms:
Cell: 4.929 4.929 4.929 Å, 60.00 60.00 60.00°
Fractional coordinates of all 4 atoms:
Cu (0.000, 0.000, 0.000)
Ag (0.500, 0.500, 0.500)
Hg (0.250, 0.250, 0.250)
Bi (0.750, 0.750, 0.750)

Top 10 peaks for 10 to 90 degrees two-theta, by angle:
2theta  d_spacing  intensity
22.09  4.025  1
25.56  3.485  17
36.46  2.465  100
45.05  2.012  6
52.51  1.743  18
59.28  1.559  8
65.61  1.423  36
77.45  1.232  11
83.14  1.162  4
88.76  1.102  17